For Re2Pt, the PBE geometry in Alexandria gives the theoretical XRD peak list in this record (Cu Kα X-rays).
Neutral-atom scattering factors, no anomalous dispersion.

Lattice parameters (Å, degrees): 10.1721 2.7756 6.6079 90.00 104.33 90.00
Space group C2/m (No. 12)
Inequivalent atoms, fractional coordinates:
1 Re 0.1454 0.0000 0.0256 [4 per cell]
2 Re 0.1948 0.0000 0.6449 [4 per cell]
3 Pt 0.0287 0.5000 0.3019 [4 per cell]

The 8 most intense peaks (2θ = 5–70°), sorted by position:
hkl 2 0 2, 37.08 deg, I = 12; hkl 1 1 1, 37.33 deg, I = 24; hkl 4 0 -2, 40.29 deg, I = 39; hkl 0 0 3, 42.40 deg, I = 50; hkl 3 1 0, 42.62 deg, I = 100; hkl 6 0 0, 56.03 deg, I = 14; hkl 3 1 3, 67.00 deg, I = 18; hkl 0 2 0, 67.49 deg, I = 9